Structure and calculated X-ray diffraction stick pattern of Mn3GaF8 (a structure optimized by DFT (PBE+U); CuKα).

Structure:
```
data_Mn3GaF8
_chemical_formula_sum 'Mn6 Ga2 F16'
_space_group_name_H-M_alt 'P 1'
_space_group_IT_number 1
_space_group_name_Hall 'P 1'
_cell_length_a 6.6688
_cell_length_b 6.6688
_cell_length_c 9.4549
_cell_angle_alpha 90.00
_cell_angle_beta 90.00
_cell_angle_gamma 120.00
loop_
_atom_site_label
_atom_site_fract_x
_atom_site_fract_y
_atom_site_fract_z
Mn1 0.1668 0.3336 0.0000
Mn2 0.1668 0.8332 0.0000
Mn3 0.3336 0.1668 0.5000
Mn4 0.6664 0.8332 0.0000
Mn5 0.8332 0.1668 0.5000
Mn6 0.8332 0.6664 0.5000
Ga1 0.3333 0.6667 0.2882
Ga2 0.6667 0.3333 0.7882
F1 0.0000 0.0000 0.1015
F2 0.0000 0.0000 0.6015
F3 0.0621 0.5311 0.1353
F4 0.1655 0.3309 0.3958
F5 0.1655 0.8345 0.3958
F6 0.3309 0.1655 0.8958
F7 0.3333 0.6667 0.8952
F8 0.4689 0.5311 0.1353
F9 0.4689 0.9379 0.1353
F10 0.5311 0.0621 0.6353
F11 0.5311 0.4689 0.6353
F12 0.6667 0.3333 0.3952
F13 0.6691 0.8345 0.3958
F14 0.8345 0.1655 0.8958
F15 0.8345 0.6691 0.8958
F16 0.9379 0.4689 0.6353
```

Main lines, low angle first (2θ = 10–80°):
hkl, 2θ (°), d [Å], intensity
1 0 1, 18.00, 4.929, 100
0 0 2, 18.77, 4.727, 35
1 0 2, 24.33, 3.658, 33
2 0 1, 32.40, 2.764, 59
1 1 2, 32.87, 2.725, 41
2 0 2, 36.46, 2.464, 43
2 0 3, 42.46, 2.129, 47
2 1 3, 50.88, 1.795, 26
2 2 0, 55.08, 1.667, 41
2 0 5, 58.33, 1.582, 37